# Ca4As2I5
Theoretical powder XRD pattern, Cu Ka. Input: a structure optimized by DFT (GGA-PBE).

Cell and atoms:
a = 23.578 Å, b = 4.247 Å, c = 8.713 Å
α = 90.00°, β = 92.57°, γ = 90.00°
Space group C2/m (No. 12)
One atom of each set of equivalent atoms:
Ca 0.020 0.000 0.220 (multiplicity 4)
Ca 0.171 0.500 0.080 (multiplicity 4)
As 0.048 0.500 0.959 (multiplicity 4)
I 0.000 0.500 0.500 (multiplicity 2)
I 0.149 0.000 0.330 (multiplicity 4)
I 0.196 0.000 0.829 (multiplicity 4)

Principal peaks in the range 2θ = 10–80°, by angle:
2θ (°)	Rel. int.	h k l
22.09	45.8	2 0 2
22.65	36.7	6 0 0
23.82	55.7	3 1 0
25.75	28.1	3 1 -1
29.51	100.0	1 1 -2
32.54	31.9	8 0 1
35.65	42.4	5 1 2
41.45	42.6	9 1 -1
42.57	20.9	0 2 0
48.72	21.7	10 0 -3